Calculated powder diffractogram
Compound: Tl2SiTe5
Radiation: Cu Kα, 1.54184 Å
Structure: a PBE-relaxed structure
No peak broadening, texture or thermal motion is included.

abc: 15.452 6.747 6.669
angles: 90.00 115.56 90.00
Space group Cm (No. 8)
One atom of each set of equivalent atoms:
Tl: 0.000 0.000 0.000
Tl: 0.001 0.500 0.502
Si: 0.228 0.500 0.229
Te: 0.051 0.500 0.052
Te: 0.306 0.238 0.047
Te: 0.306 0.238 0.567

Principal peaks in the range 2θ = 10–90°, in order of rising 2θ:
d 6.970, I 26; d 4.743, I 19; d 3.921, I 49; d 3.485, I 53; d 3.036, I 100; d 3.008, I 98; d 2.808, I 23; d 2.371, I 62; d 2.086, I 18; d 1.961, I 42; d 1.471, I 22; d 1.461, I 22